[1]
For Pr3BC3, a cell relaxed with GGA-PBE gives the theoretical powder X-ray diffraction pattern in this record (Cu Kα (weighted mean of Kα1 and Kα2)).
Neutral-atom scattering factors, no anomalous dispersion.

The 10 most intense peaks (10 to 90 degrees two-theta), by angle:
| two_theta | d [Å] | I/Imax |
| --- | --- | --- |
| 24.33 | 3.659 | 30 |
| 29.43 | 3.035 | 100 |
| 32.71 | 2.737 | 20 |
| 32.96 | 2.717 | 29 |
| 37.55 | 2.395 | 27 |
| 41.39 | 2.182 | 15 |
| 42.81 | 2.113 | 16 |
| 50.81 | 1.797 | 22 |
| 55.06 | 1.668 | 15 |
| 56.70 | 1.624 | 16 |

Atomic structure:
a = 7.318 Å, b = 7.318 Å, c = 5.435 Å
α = 90.00°, β = 90.00°, γ = 120.00°
Positions (direct):
Pr (0.065, 0.702, 0.250)
Pr (0.298, 0.363, 0.250)
Pr (0.363, 0.065, 0.750)
Pr (0.637, 0.935, 0.250)
Pr (0.702, 0.637, 0.750)
Pr (0.935, 0.298, 0.750)
B (0.333, 0.667, 0.750)
B (0.667, 0.333, 0.250)
C (0.116, 0.688, 0.750)
C (0.312, 0.428, 0.750)
C (0.428, 0.116, 0.250)
C (0.572, 0.884, 0.750)
C (0.688, 0.572, 0.250)
C (0.884, 0.312, 0.250)

***

[2]
For Nb8Pd, a cell relaxed with GGA-PBE gives the theoretical powder X-ray diffraction pattern in this record (Cu Kα (weighted mean of Kα1 and Kα2)).
Neutral-atom scattering factors, no anomalous dispersion.

The 10 most intense peaks (10 to 90 degrees two-theta), by angle:
| two_theta | d [Å] | I/Imax |
| --- | --- | --- |
| 38.53 | 2.336 | 100 |
| 38.67 | 2.329 | 25 |
| 38.95 | 2.312 | 24 |
| 55.21 | 1.664 | 9 |
| 56.05 | 1.641 | 16 |
| 69.43 | 1.354 | 8 |
| 69.62 | 1.350 | 8 |
| 69.89 | 1.346 | 17 |
| 70.27 | 1.340 | 16 |
| 82.59 | 1.168 | 10 |

Atomic structure:
a = 8.546 Å, b = 7.318 Å, c = 5.507 Å
α = 82.27°, β = 58.05°, γ = 39.69°
Positions (direct):
Nb (0.164, 0.164, 0.836)
Nb (0.166, 0.834, 0.166)
Nb (0.167, 0.500, 0.500)
Nb (0.500, 0.167, 0.833)
Nb (0.500, 0.833, 0.167)
Nb (0.833, 0.500, 0.500)
Nb (0.834, 0.166, 0.834)
Nb (0.836, 0.836, 0.164)
Pd (0.500, 0.500, 0.500)

***

[3]
For Np2Tl3CuS6, a cell relaxed with GGA-PBE gives the theoretical powder X-ray diffraction pattern in this record (Cu Kα (weighted mean of Kα1 and Kα2)).
Neutral-atom scattering factors, no anomalous dispersion.

The 10 most intense peaks (10 to 90 degrees two-theta), by angle:
| two_theta | d [Å] | I/Imax |
| --- | --- | --- |
| 23.82 | 3.735 | 50 |
| 26.76 | 3.332 | 69 |
| 27.98 | 3.189 | 30 |
| 30.02 | 2.977 | 100 |
| 31.56 | 2.835 | 43 |
| 41.44 | 2.179 | 37 |
| 41.95 | 2.154 | 20 |
| 43.97 | 2.059 | 16 |
| 46.67 | 1.946 | 29 |
| 48.06 | 1.893 | 18 |

Atomic structure:
a = 7.010 Å, b = 7.010 Å, c = 7.762 Å
α = 97.37°, β = 97.37°, γ = 123.59°
Positions (direct):
Np (0.165, 0.835, 0.000)
Np (0.835, 0.165, 0.000)
Tl (0.000, 0.000, 0.500)
Tl (0.345, 0.655, 0.500)
Tl (0.655, 0.345, 0.500)
Cu (0.500, 0.500, 0.000)
S (0.065, 0.437, 0.789)
S (0.253, 0.253, 0.161)
S (0.437, 0.065, 0.789)
S (0.563, 0.935, 0.211)
S (0.747, 0.747, 0.839)
S (0.935, 0.563, 0.211)

***

[4]
For PmAgH7Pd2, a cell relaxed with GGA-PBE gives the theoretical powder X-ray diffraction pattern in this record (Cu Kα (weighted mean of Kα1 and Kα2)).
Neutral-atom scattering factors, no anomalous dispersion.

The 10 most intense peaks (10 to 90 degrees two-theta), by angle:
| two_theta | d [Å] | I/Imax |
| --- | --- | --- |
| 24.50 | 3.633 | 27 |
| 29.06 | 3.073 | 100 |
| 34.02 | 2.635 | 27 |
| 35.81 | 2.507 | 68 |
| 36.64 | 2.452 | 97 |
| 48.88 | 1.863 | 36 |
| 57.87 | 1.593 | 28 |
| 62.61 | 1.484 | 40 |
| 67.63 | 1.385 | 22 |
| 68.22 | 1.375 | 22 |

Atomic structure:
a = 8.558 Å, b = 8.558 Å, c = 8.558 Å
α = 154.85°, β = 154.85°, γ = 35.87°
Positions (direct):
Pm (0.000, 0.000, 0.000)
Ag (0.750, 0.250, 0.500)
H (0.104, 0.604, 0.500)
H (0.277, 0.277, 0.000)
H (0.396, 0.896, 0.500)
H (0.500, 0.500, 0.000)
H (0.606, 0.106, 0.500)
H (0.723, 0.723, 0.000)
H (0.894, 0.394, 0.500)
Pd (0.391, 0.391, 0.000)
Pd (0.609, 0.609, 0.000)

***

[5]
For PaSi2Pt3, a cell relaxed with GGA-PBE gives the theoretical powder X-ray diffraction pattern in this record (Cu Kα (weighted mean of Kα1 and Kα2)).
Neutral-atom scattering factors, no anomalous dispersion.

The 10 most intense peaks (10 to 90 degrees two-theta), by angle:
| two_theta | d [Å] | I/Imax |
| --- | --- | --- |
| 26.02 | 3.424 | 36 |
| 28.52 | 3.129 | 41 |
| 29.45 | 3.033 | 37 |
| 34.44 | 2.604 | 32 |
| 35.36 | 2.538 | 39 |
| 36.29 | 2.475 | 73 |
| 37.56 | 2.395 | 100 |
| 38.43 | 2.342 | 99 |
| 47.37 | 1.919 | 50 |
| 61.10 | 1.517 | 35 |

Atomic structure:
a = 8.438 Å, b = 8.438 Å, c = 7.584 Å
α = 114.64°, β = 114.64°, γ = 26.30°
Positions (direct):
Pa (0.147, 0.147, 0.154)
Pa (0.853, 0.853, 0.846)
Si (0.132, 0.132, 0.670)
Si (0.480, 0.480, 0.135)
Si (0.520, 0.520, 0.865)
Si (0.868, 0.868, 0.330)
Pt (0.023, 0.023, 0.336)
Pt (0.312, 0.312, 0.120)
Pt (0.320, 0.320, 0.522)
Pt (0.680, 0.680, 0.478)
Pt (0.688, 0.688, 0.880)
Pt (0.977, 0.977, 0.664)

***

[6]
For Cu2Te2Cl, a cell relaxed with GGA-PBE gives the theoretical powder X-ray diffraction pattern in this record (Cu Kα (weighted mean of Kα1 and Kα2)).
Neutral-atom scattering factors, no anomalous dispersion.

The 10 most intense peaks (10 to 90 degrees two-theta), by angle:
| two_theta | d [Å] | I/Imax |
| --- | --- | --- |
| 16.74 | 5.295 | 77 |
| 18.37 | 4.830 | 100 |
| 24.31 | 3.662 | 89 |
| 29.58 | 3.020 | 88 |
| 30.22 | 2.957 | 51 |
| 31.03 | 2.882 | 67 |
| 31.17 | 2.870 | 44 |
| 41.88 | 2.157 | 76 |
| 42.19 | 2.142 | 58 |
| 46.46 | 1.955 | 63 |

Atomic structure:
a = 6.253 Å, b = 6.281 Å, c = 6.978 Å
α = 88.33°, β = 69.47°, γ = 74.56°
Positions (direct):
Cu (0.202, 0.347, 0.411)
Cu (0.243, 0.266, 0.032)
Cu (0.757, 0.734, 0.968)
Cu (0.798, 0.653, 0.589)
Te (0.032, 0.666, 0.201)
Te (0.341, 0.921, 0.228)
Te (0.659, 0.079, 0.772)
Te (0.968, 0.334, 0.799)
Cl (0.401, 0.746, 0.663)
Cl (0.599, 0.254, 0.337)

***

[7]
For PmPuOsRh, a cell relaxed with GGA-PBE gives the theoretical powder X-ray diffraction pattern in this record (Cu Kα (weighted mean of Kα1 and Kα2)).
Neutral-atom scattering factors, no anomalous dispersion.

The 10 most intense peaks (10 to 90 degrees two-theta), by angle:
| two_theta | d [Å] | I/Imax |
| --- | --- | --- |
| 22.28 | 3.989 | 7 |
| 25.79 | 3.455 | 2 |
| 36.79 | 2.443 | 100 |
| 43.43 | 2.083 | 4 |
| 53.01 | 1.727 | 18 |
| 58.20 | 1.585 | 2 |
| 66.26 | 1.410 | 36 |
| 78.27 | 1.222 | 11 |
| 82.61 | 1.168 | 1 |
| 89.76 | 1.093 | 17 |

Atomic structure:
a = 4.886 Å, b = 4.886 Å, c = 4.886 Å
α = 60.00°, β = 60.00°, γ = 60.00°
Positions (direct):
Pm (0.000, 0.000, 0.000)
Pu (0.500, 0.500, 0.500)
Os (0.750, 0.750, 0.750)
Rh (0.250, 0.250, 0.250)

***

[8]
For Dy11Tm9Sc4, a cell relaxed with GGA-PBE gives the theoretical powder X-ray diffraction pattern in this record (Cu Kα (weighted mean of Kα1 and Kα2)).
Neutral-atom scattering factors, no anomalous dispersion.

The 10 most intense peaks (10 to 90 degrees two-theta), by angle:
| two_theta | d [Å] | I/Imax |
| --- | --- | --- |
| 30.70 | 2.912 | 100 |
| 31.08 | 2.878 | 32 |
| 31.53 | 2.837 | 38 |
| 32.02 | 2.795 | 36 |
| 32.94 | 2.719 | 31 |
| 33.33 | 2.688 | 92 |
| 33.45 | 2.679 | 96 |
| 33.56 | 2.670 | 25 |
| 51.68 | 1.769 | 25 |
| 61.33 | 1.511 | 34 |

Atomic structure:
a = 14.874 Å, b = 14.874 Å, c = 3.538 Å
α = 90.00°, β = 90.00°, γ = 113.07°
Positions (direct):
Dy (0.000, 0.000, 0.000)
Dy (0.046, 0.407, 0.000)
Dy (0.160, 0.840, 0.000)
Dy (0.297, 0.297, 0.000)
Dy (0.370, 0.630, 0.000)
Dy (0.407, 0.046, 0.000)
Dy (0.593, 0.954, 0.000)
Dy (0.630, 0.370, 0.000)
Dy (0.703, 0.703, 0.000)
Dy (0.840, 0.160, 0.000)
Dy (0.954, 0.593, 0.000)
Tm (0.073, 0.217, 0.500)
Tm (0.166, 0.629, 0.500)
Tm (0.217, 0.073, 0.500)
Tm (0.371, 0.834, 0.500)
Tm (0.500, 0.500, 0.500)
Tm (0.629, 0.166, 0.500)
Tm (0.783, 0.927, 0.500)
Tm (0.834, 0.371, 0.500)
Tm (0.927, 0.783, 0.500)
Sc (0.242, 0.446, 0.500)
Sc (0.446, 0.242, 0.500)
Sc (0.554, 0.758, 0.500)
Sc (0.758, 0.554, 0.500)